[1]
Computed powder diffraction line list
Compound: Nd4Sm3Tm2
Radiation: Cu Kα (λ = 1.5418 Å)
Structure: a crystal structure in Alexandria, relaxed with PBE

Peak list (10 most intense, 2θ from 5° to 70°, by angle)
2θ (°), d/Å, Rel. int.
30.4, 2.937, 100
30.5, 2.926, 43
30.8, 2.903, 36
30.9, 2.893, 23
31.2, 2.869, 30
32.2, 2.779, 60
33.8, 2.654, 44
34.4, 2.608, 36
45.3, 2.003, 16
49.4, 1.844, 29

Crystal structure
a = 6.695 Å, b = 6.695 Å, c = 14.467 Å
α = 114.53°, β = 114.53°, γ = 31.95°
Sites, in units of the cell vectors:
Nd1 0.217 0.217 0.108
Nd2 0.280 0.280 0.628
Nd3 0.720 0.720 0.372
Nd4 0.783 0.783 0.892
Sm1 0.493 0.493 0.114
Sm2 0.500 0.500 0.500
Sm3 0.507 0.507 0.886
Tm1 0.052 0.052 0.710
Tm2 0.948 0.948 0.290



[2]
Computed powder diffraction line list
Compound: NdSm6Tm
Radiation: Cu Kα (λ = 1.5418 Å)
Structure: a crystal structure in Alexandria, relaxed with PBE

Peak list (5 most intense, 2θ from 5° to 70°, by angle)
2θ (°), d/Å, Rel. int.
30.3, 2.952, 100
35.1, 2.557, 51
50.5, 1.808, 36
60.0, 1.542, 43
63.0, 1.476, 12

Crystal structure
a = 5.115 Å, b = 5.115 Å, c = 10.218 Å
α = 90.00°, β = 90.00°, γ = 90.00°
Sites, in units of the cell vectors:
Nd1 0.000 0.000 0.000
Sm1 0.000 0.500 0.253
Sm2 0.000 0.500 0.747
Sm3 0.500 0.000 0.253
Sm4 0.500 0.000 0.747
Sm5 0.500 0.500 0.000
Sm6 0.500 0.500 0.500
Tm1 0.000 0.000 0.500



[3]
Computed powder diffraction line list
Compound: NdSm15Tm4
Radiation: Cu Kα (λ = 1.5418 Å)
Structure: a crystal structure in Alexandria, relaxed with PBE

Peak list (7 most intense, 2θ from 5° to 70°, by angle)
2θ (°), d/Å, Rel. int.
30.4, 2.941, 100
35.2, 2.549, 34
35.3, 2.542, 17
50.7, 1.801, 36
60.2, 1.537, 29
60.4, 1.534, 14
63.2, 1.470, 12

Crystal structure
a = 5.098 Å, b = 5.098 Å, c = 25.419 Å
α = 90.00°, β = 90.00°, γ = 90.00°
Sites, in units of the cell vectors:
Nd1 0.000 0.000 0.000
Sm1 0.000 0.500 0.102
Sm2 0.000 0.500 0.301
Sm3 0.000 0.500 0.500
Sm4 0.000 0.500 0.699
Sm5 0.000 0.500 0.898
Sm6 0.500 0.000 0.102
Sm7 0.500 0.000 0.301
Sm8 0.500 0.000 0.500
Sm9 0.500 0.000 0.699
Sm10 0.500 0.000 0.898
Sm11 0.500 0.500 0.000
Sm12 0.500 0.500 0.202
Sm13 0.500 0.500 0.401
Sm14 0.500 0.500 0.599
Sm15 0.500 0.500 0.798
Tm1 0.000 0.000 0.202
Tm2 0.000 0.000 0.401
Tm3 0.000 0.000 0.599
Tm4 0.000 0.000 0.798



[4]
Computed powder diffraction line list
Compound: Nd12SmTm5
Radiation: Cu Kα (λ = 1.5418 Å)
Structure: a crystal structure in Alexandria, relaxed with PBE

Peak list (10 most intense, 2θ from 5° to 70°, by angle)
2θ (°), d/Å, Rel. int.
11.6, 7.661, 1
30.2, 2.961, 100
34.9, 2.569, 34
35.1, 2.553, 17
50.2, 1.817, 12
50.4, 1.811, 24
59.7, 1.549, 14
59.7, 1.548, 14
60.0, 1.542, 14
62.8, 1.480, 12

Crystal structure
a = 10.857 Å, b = 5.139 Å, c = 10.876 Å
α = 90.00°, β = 90.35°, γ = 90.00°
Sites, in units of the cell vectors:
Nd1 0.002 0.000 0.168
Nd2 0.166 0.500 0.666
Nd3 0.169 0.500 0.002
Nd4 0.332 0.000 0.498
Nd5 0.336 0.000 0.836
Nd6 0.498 0.500 0.331
Nd7 0.502 0.500 0.669
Nd8 0.664 0.000 0.164
Nd9 0.668 0.000 0.502
Nd10 0.831 0.500 0.998
Nd11 0.834 0.500 0.334
Nd12 0.998 0.000 0.832
Sm1 0.000 0.000 0.500
Tm1 0.168 0.500 0.332
Tm2 0.333 0.000 0.167
Tm3 0.500 0.500 0.000
Tm4 0.667 0.000 0.833
Tm5 0.832 0.500 0.668



[5]
Computed powder diffraction line list
Compound: Nd6Sm2Tm
Radiation: Cu Kα (λ = 1.5418 Å)
Structure: a crystal structure in Alexandria, relaxed with PBE

Peak list (10 most intense, 2θ from 5° to 70°, by angle)
2θ (°), d/Å, Rel. int.
29.6, 3.021, 58
30.1, 2.966, 100
31.1, 2.873, 93
36.6, 2.453, 30
37.1, 2.421, 27
48.5, 1.877, 11
49.1, 1.855, 13
50.3, 1.814, 12
54.1, 1.696, 20
54.6, 1.680, 20

Crystal structure
a = 10.214 Å, b = 10.214 Å, c = 6.268 Å
α = 95.04°, β = 95.04°, γ = 71.12°
Sites, in units of the cell vectors:
Nd1 0.093 0.811 0.987
Nd2 0.150 0.427 0.150
Nd3 0.189 0.907 0.513
Nd4 0.244 0.524 0.680
Nd5 0.427 0.150 0.650
Nd6 0.476 0.756 0.820
Nd7 0.524 0.244 0.180
Nd8 0.573 0.850 0.350
Nd9 0.756 0.476 0.320
Nd10 0.811 0.093 0.487
Nd11 0.850 0.573 0.850
Nd12 0.907 0.189 0.013
Sm1 0.068 0.268 0.579
Sm2 0.268 0.068 0.079
Sm3 0.732 0.932 0.921
Sm4 0.932 0.732 0.421
Tm1 0.400 0.600 0.250
Tm2 0.600 0.400 0.750



- Which formula does entry 4 have?
  Nd12SmTm5